[1]
Er3TmTe6: simulated powder X-ray diffraction pattern (copper Kα), based on a structure optimized by DFT (GGA-PBE).
Intensities are scaled so that the largest is 100.

Largest 10 diffraction maxima, by angle, 2θ = 15–90°:
- (1 1 -3), 23.0°, rel. 100.0
- (1 0 -4), 27.0°, rel. 91.2
- (2 1 -1), 28.1°, rel. 87.5
- (1 1 -4), 29.2°, rel. 91.2
- (1 2 1), 30.2°, rel. 61.2
- (0 2 3), 33.0°, rel. 47.9
- (1 3 -1), 36.0°, rel. 82.9
- (2 2 -4), 37.2°, rel. 48.2
- (3 1 -5), 42.2°, rel. 47.3
- (0 0 6), 49.1°, rel. 50.8

Crystal structure
```
data_Er3TmTe6
_cell_length_a 7.276
_cell_length_b 7.969
_cell_length_c 13.288
_cell_angle_alpha 90.00
_cell_angle_beta 123.08
_cell_angle_gamma 90.00
_space_group_name_H-M_alt 'P 1 21/c 1'
_space_group_IT_number 14
loop_
_space_group_symop_operation_xyz
'x,y,z'
'-x,-y,-z'
'-x,y+1/2,-z+1/2'
'x,-y+1/2,z+1/2'
loop_
_atom_site_label
_atom_site_fract_x
_atom_site_fract_y
_atom_site_fract_z
Er1 0.000 0.000 0.000
Er2 0.304 0.122 0.751
Tm1 0.500 0.000 0.500
Te1 0.085 0.052 0.251
Te2 0.246 0.674 0.082
Te3 0.419 0.175 0.082
```



[2]
Sm11Y9Sc4: simulated powder X-ray diffraction pattern (copper Kα), based on a structure optimized by DFT (GGA-PBE).
Intensities are scaled so that the largest is 100.

Largest 10 diffraction maxima, by angle, 2θ = 15–90°:
- (5 3 0), 28.6°, rel. 23.9
- (4 6 0), 30.0°, rel. 82.0
- (2 4 1), 30.5°, rel. 28.5
- (1 5 1), 30.9°, rel. 24.1
- (3 3 1), 31.4°, rel. 33.1
- (1 9 0), 32.2°, rel. 22.3
- (0 6 1), 32.7°, rel. 100.0
- (4 0 1), 32.8°, rel. 86.4
- (0 0 2), 50.8°, rel. 23.6
- (4 6 2), 60.2°, rel. 27.9

Crystal structure
```
data_Sm11Y9Sc4
_cell_length_a 16.792
_cell_length_b 25.393
_cell_length_c 3.593
_cell_angle_alpha 90.00
_cell_angle_beta 90.00
_cell_angle_gamma 90.00
_space_group_name_H-M_alt 'C m m m'
_space_group_IT_number 65
_space_group_name_Hall '-C 2 2'
loop_
_atom_site_label
_atom_site_fract_x
_atom_site_fract_y
_atom_site_fract_z
Sm1 0.000 0.000 0.000
Sm2 0.000 0.160 0.000
Sm3 0.000 0.371 0.000
Sm4 0.201 0.500 0.000
Sm5 0.227 0.180 0.000
Y1 0.000 0.500 0.500
Y2 0.103 0.269 0.500
Y3 0.145 0.072 0.500
Sc1 0.156 0.398 0.500
```



[3]
MgCdPd14: simulated powder X-ray diffraction pattern (copper Kα), based on a structure optimized by DFT (GGA-PBE).
Intensities are scaled so that the largest is 100.

Largest 10 diffraction maxima, by angle, 2θ = 15–90°:
- (1 0 0), 15.8°, rel. 1.1
- (1 0 1), 19.3°, rel. 1.8
- (2 0 2), 39.3°, rel. 100.0
- (0 0 4), 45.6°, rel. 16.2
- (2 2 0), 45.7°, rel. 32.2
- (2 2 4), 66.5°, rel. 20.4
- (4 0 0), 66.6°, rel. 10.1
- (2 0 6), 80.0°, rel. 12.0
- (4 2 2), 80.2°, rel. 23.9
- (4 0 4), 84.5°, rel. 10.5

Crystal structure
```
data_MgCdPd14
_cell_length_a 5.613
_cell_length_b 5.613
_cell_length_c 7.962
_cell_angle_alpha 90.00
_cell_angle_beta 90.00
_cell_angle_gamma 90.00
_space_group_name_H-M_alt 'P 4/m m m'
_space_group_IT_number 123
_space_group_name_Hall '-P 4 2'
loop_
_atom_site_label
_atom_site_fract_x
_atom_site_fract_y
_atom_site_fract_z
Mg1 0.000 0.000 0.000
Cd1 0.500 0.500 0.000
Pd1 0.000 0.000 0.500
Pd2 0.000 0.500 0.000
Pd3 0.000 0.500 0.500
Pd4 0.248 0.248 0.251
Pd5 0.500 0.500 0.500
```



[4]
KMg: simulated powder X-ray diffraction pattern (copper Kα), based on a structure optimized by DFT (GGA-PBE).
Intensities are scaled so that the largest is 100.

Largest 10 diffraction maxima, by angle, 2θ = 15–90°:
- (1 0 0), 18.6°, rel. 12.2
- (1 0 2), 22.7°, rel. 15.2
- (1 0 3), 27.1°, rel. 100.0
- (1 0 4), 32.2°, rel. 12.7
- (1 1 0), 32.6°, rel. 62.7
- (0 0 6), 39.5°, rel. 10.8
- (2 0 3), 42.8°, rel. 25.8
- (1 1 6), 52.1°, rel. 26.8
- (2 1 3), 54.8°, rel. 23.1
- (3 0 0), 58.1°, rel. 10.2

Crystal structure
```
data_KMg
_cell_length_a 5.4969
_cell_length_b 5.4969
_cell_length_c 13.6968
_cell_angle_alpha 90.00
_cell_angle_beta 90.00
_cell_angle_gamma 120.00
_space_group_name_H-M_alt 'P 63/m m c'
_space_group_IT_number 194
_space_group_name_Hall '-P 6c 2c'
loop_
_atom_site_label
_atom_site_fract_x
_atom_site_fract_y
_atom_site_fract_z
K1 0.3333 0.6667 0.0937
Mg1 0.0000 0.0000 0.2500
Mg2 0.3333 0.6667 0.7500
```



[5]
ThSnTe2N: simulated powder X-ray diffraction pattern (copper Kα), based on a structure optimized by DFT (GGA-PBE).
Intensities are scaled so that the largest is 100.

Largest 10 diffraction maxima, by angle, 2θ = 15–90°:
- (1 0 3), 26.7°, rel. 87.7
- (1 0 4), 30.3°, rel. 23.0
- (1 1 0), 30.4°, rel. 100.0
- (1 0 5), 34.4°, rel. 63.8
- (1 1 4), 37.4°, rel. 24.8
- (2 0 0), 43.6°, rel. 41.4
- (2 1 3), 51.9°, rel. 30.4
- (2 1 5), 56.6°, rel. 31.3
- (2 2 0), 63.3°, rel. 23.1
- (3 1 0), 71.8°, rel. 25.4

Crystal structure
```
data_ThSnTe2N
_cell_length_a 4.155
_cell_length_b 4.155
_cell_length_c 16.745
_cell_angle_alpha 90.00
_cell_angle_beta 90.00
_cell_angle_gamma 90.00
_space_group_name_H-M_alt 'P 4/n m m'
_space_group_IT_number 129
loop_
_space_group_symop_operation_xyz
'x,y,z'
'-x,-y,-z'
'-y+1/2,x,z'
'y+1/2,-x,-z'
'-x+1/2,-y+1/2,z'
'x+1/2,y+1/2,-z'
'y,-x+1/2,z'
'-y,x+1/2,-z'
'x+1/2,-y,-z'
'-x+1/2,y,z'
'-y,-x,-z'
'y,x,z'
'-x,y+1/2,-z'
'x,-y+1/2,z'
'y+1/2,x+1/2,-z'
'-y+1/2,-x+1/2,z'
loop_
_atom_site_label
_atom_site_fract_x
_atom_site_fract_y
_atom_site_fract_z
Th1 0.250 0.250 0.068
Sn1 0.250 0.250 0.651
Te1 0.250 0.250 0.399
Te2 0.250 0.250 0.821
N1 0.250 0.750 0.000
```



[6]
YZn3Cu8: simulated powder X-ray diffraction pattern (copper Kα), based on a structure optimized by DFT (GGA-PBE).
Intensities are scaled so that the largest is 100.

Largest 10 diffraction maxima, by angle, 2θ = 15–90°:
- (1 1 0), 36.2°, rel. 33.7
- (1 0 3), 39.7°, rel. 70.6
- (1 1 2), 42.8°, rel. 100.0
- (0 2 1), 43.6°, rel. 90.8
- (0 0 4), 45.2°, rel. 17.9
- (0 2 2), 48.0°, rel. 19.3
- (2 1 3), 67.4°, rel. 25.0
- (0 3 2), 69.7°, rel. 22.9
- (0 2 5), 73.6°, rel. 23.6
- (2 2 0), 76.8°, rel. 25.7

Crystal structure
```
data_YZn3Cu8
_cell_length_a 4.9635
_cell_length_b 4.9635
_cell_length_c 8.0296
_cell_angle_alpha 90.00
_cell_angle_beta 90.00
_cell_angle_gamma 120.00
_space_group_name_H-M_alt 'P 3 m 1'
_space_group_IT_number 156
loop_
_space_group_symop_operation_xyz
'x,y,z'
'-y,x-y,z'
'-x+y,-x,z'
'-y,-x,z'
'-x+y,y,z'
'x,x-y,z'
loop_
_atom_site_label
_atom_site_fract_x
_atom_site_fract_y
_atom_site_fract_z
Y1 0.0000 0.0000 0.0000
Zn1 0.0000 0.0000 0.3939
Zn2 0.6667 0.3333 0.4907
Zn3 0.6667 0.3333 0.8323
Cu1 0.1648 0.3297 0.6794
Cu2 0.3333 0.6667 0.4355
Cu3 0.3333 0.6667 0.9366
Cu4 0.5035 0.0071 0.1969
```